Theoretical X-ray diffraction stick pattern of HoHfS3 for copper Kα, from the GGA-PBE geometry in Alexandria.

```
data_HoHfS3
_chemical_formula_sum 'Ho2 Hf2 S6'
_symmetry_space_group_name_H-M 'P -6 c 2'
_symmetry_Int_Tables_number 188
_symmetry_space_group_name_Hall 'P -6c 2'
_cell_length_a 6.5473
_cell_length_b 6.5473
_cell_length_c 6.4777
_cell_angle_alpha 90.00
_cell_angle_beta 90.00
_cell_angle_gamma 120.00
loop_
_atom_site_label
_atom_site_type_symbol
_atom_site_fract_x
_atom_site_fract_y
_atom_site_fract_z
Ho1 Ho 0.0000 0.0000 0.0000
Hf1 Hf 0.6667 0.3333 0.0000
S1 S 0.3501 0.0338 0.2500
```

Peak list (12 most intense, 10 to 90 degrees two-theta, sorted by position)
h k l	2theta	I/Imax
1 0 0	15.6	100
1 1 0	27.2	69
0 0 2	27.5	15
1 0 2	31.8	29
1 1 2	39.1	95
2 0 2	42.4	18
3 0 0	48.1	32
2 1 2	51.1	18
3 0 2	56.4	15
2 2 2	63.7	22
3 0 4	77.6	16
4 1 2	83.7	21